Pu2NiO11: simulated X-ray diffraction stick pattern (copper Kα), based on a GGA+U-relaxed structure.
Lines closer than 0.1° are merged.

Cell lengths 8.4595, 8.4595, 8.4595 Å; angles 117.60, 107.94, 103.23 degrees
Fractional coordinates of all 28 atoms:
Pu 0.2295 0.1805 0.4099
Pu 0.2705 0.6805 0.9510
Pu 0.7295 0.3195 0.0490
Pu 0.7705 0.8195 0.5901
Ni 0.2500 0.2500 0.0000
Ni 0.7500 0.7500 0.0000
O 0.0000 0.5000 0.5000
O 0.0107 0.0241 0.7843
O 0.0367 0.6295 0.9134
O 0.1482 0.4425 0.5907
O 0.2162 0.1295 0.5928
O 0.2398 0.2265 0.2157
O 0.2602 0.4759 0.9866
O 0.2838 0.8767 0.9134
O 0.3518 0.9425 0.2943
O 0.4633 0.3767 0.5928
O 0.4893 0.2735 0.0134
O 0.5000 0.0000 0.5000
O 0.5107 0.7265 0.9866
O 0.5367 0.6233 0.4072
O 0.6482 0.0575 0.7057
O 0.7162 0.1233 0.0866
O 0.7398 0.5241 0.0134
O 0.7602 0.7735 0.7843
O 0.7838 0.8705 0.4072
O 0.8518 0.5575 0.4093
O 0.9633 0.3705 0.0866
O 0.9893 0.9759 0.2157

Most intense lines, 2θ = 10–80°, in order of rising 2θ:
16.88 deg, d 5.253, rel. 86; 17.82 deg, d 4.976, rel. 57; 23.75 deg, d 3.747, rel. 100; 24.64 deg, d 3.613, rel. 89; 26.49 deg, d 3.365, rel. 30; 27.11 deg, d 3.289, rel. 43; 33.98 deg, d 2.638, rel. 29; 34.98 deg, d 2.565, rel. 26; 43.14 deg, d 2.097, rel. 34; 49.94 deg, d 1.826, rel. 26